(1)
Structure and simulated powder diffraction line list of CeSn3Ru (a DFT-relaxed cell (GGA-PBE, the Materials Project); a wavelength of 1.5418 Å).
Intensities are scaled so that the largest is 1000.

Structure:
```
data_CeSn3Ru
_cell_length_a 9.831
_cell_length_b 9.831
_cell_length_c 9.831
_cell_angle_alpha 90.00
_cell_angle_beta 90.00
_cell_angle_gamma 90.00
_symmetry_space_group_name_H-M 'P m -3 n'
_symmetry_Int_Tables_number 223
_symmetry_space_group_name_Hall '-P 4n 2 3'
loop_
_atom_site_label
_atom_site_type_symbol
_atom_site_fract_x
_atom_site_fract_y
_atom_site_fract_z
Ce1 Ce 0.000 0.000 0.000
Ce2 Ce 0.000 0.250 0.500
Sn1 Sn 0.000 0.317 0.156
Ru1 Ru 0.250 0.250 0.250
```

Main lines, low angle first (2θ from 10° to 90°):
hkl 3 2 0, 2θ 32.85, rel. 1000; hkl 3 2 1, 2θ 34.12, rel. 439; hkl 4 0 0, 2θ 36.56, rel. 182; hkl 4 1 0, 2θ 37.73, rel. 134; hkl 4 2 2, 2θ 45.18, rel. 227; hkl 4 3 3, 2θ 54.42, rel. 117; hkl 5 3 2, 2θ 57.81, rel. 156; hkl 6 2 2, 2θ 62.69, rel. 142; hkl 6 3 2, 2θ 66.59, rel. 129; hkl 6 6 0, 2θ 83.42, rel. 120

(2)
Structure and simulated powder diffraction line list of RbGe3As3 (a DFT-relaxed cell (GGA-PBE, the Materials Project); a wavelength of 1.5418 Å).
Intensities are scaled so that the largest is 1000.

Structure:
```
data_RbGe3As3
_cell_length_a 10.294
_cell_length_b 3.892
_cell_length_c 19.443
_cell_angle_alpha 90.00
_cell_angle_beta 90.00
_cell_angle_gamma 90.00
_symmetry_space_group_name_H-M 'P n m a'
_symmetry_Int_Tables_number 62
_symmetry_space_group_name_Hall '-P 2ac 2n'
loop_
_atom_site_label
_atom_site_type_symbol
_atom_site_fract_x
_atom_site_fract_y
_atom_site_fract_z
Rb1 Rb 0.219 0.250 0.040
Ge1 Ge 0.026 0.250 0.634
Ge2 Ge 0.076 0.750 0.244
Ge3 Ge 0.204 0.750 0.839
As1 As 0.059 0.250 0.864
As2 As 0.107 0.250 0.415
As3 As 0.225 0.250 0.218
```

Main lines, low angle first (2θ from 10° to 90°):
hkl 2 0 4, 2θ 25.20, rel. 202; hkl 2 0 5, 2θ 28.77, rel. 484; hkl 1 0 6, 2θ 28.89, rel. 258; hkl 2 1 1, 2θ 29.13, rel. 1000; hkl 4 1 4, 2θ 46.23, rel. 353; hkl 0 2 0, 2θ 46.68, rel. 299; hkl 3 1 7, 2θ 48.19, rel. 253; hkl 5 1 2, 2θ 51.05, rel. 263; hkl 2 1 9, 2θ 51.54, rel. 159; hkl 2 2 5, 2θ 55.79, rel. 213

(3)
Structure and simulated powder diffraction line list of Ba3Cr2N4 (a DFT-relaxed cell (GGA-PBE, the Materials Project); a wavelength of 1.5418 Å).
Intensities are scaled so that the largest is 1000.

Structure:
```
data_Ba3Cr2N4
_cell_length_a 6.173
_cell_length_b 10.122
_cell_length_c 10.182
_cell_angle_alpha 90.00
_cell_angle_beta 90.00
_cell_angle_gamma 90.00
_symmetry_space_group_name_H-M 'P n n a'
_symmetry_Int_Tables_number 52
_symmetry_space_group_name_Hall '-P 2a 2bc'
loop_
_atom_site_label
_atom_site_type_symbol
_atom_site_fract_x
_atom_site_fract_y
_atom_site_fract_z
Ba1 Ba 0.125 0.157 0.082
Ba2 Ba 0.250 0.000 0.404
Cr1 Cr 0.170 0.250 0.750
Cr2 Cr 0.250 0.000 0.736
N1 N 0.041 0.092 0.828
N2 N 0.150 0.646 0.859
```

Main lines, low angle first (2θ from 10° to 90°):
hkl 0 3 1, 2θ 27.86, rel. 784; hkl 1 2 2, 2θ 28.77, rel. 164; hkl 1 0 3, 2θ 30.05, rel. 1000; hkl 2 1 0, 2θ 30.27, rel. 383; hkl 1 1 3, 2θ 31.35, rel. 396; hkl 2 1 1, 2θ 31.55, rel. 179; hkl 1 3 2, 2θ 35.06, rel. 708; hkl 2 2 1, 2θ 35.18, rel. 471; hkl 1 2 4, 2θ 42.36, rel. 150; hkl 1 3 4, 2θ 47.08, rel. 241

(4)
Structure and simulated powder diffraction line list of Ba2CuSi2O7 (a DFT-relaxed cell (GGA-PBE, the Materials Project); a wavelength of 1.5418 Å).
Intensities are scaled so that the largest is 1000.

Structure:
```
data_Ba2CuSi2O7
_cell_length_a 8.417
_cell_length_b 8.417
_cell_length_c 5.358
_cell_angle_alpha 90.00
_cell_angle_beta 90.00
_cell_angle_gamma 90.00
_symmetry_space_group_name_H-M 'P -4 21 m'
_symmetry_Int_Tables_number 113
_symmetry_space_group_name_Hall 'P -4 2ab'
loop_
_atom_site_label
_atom_site_type_symbol
_atom_site_fract_x
_atom_site_fract_y
_atom_site_fract_z
Ba1 Ba 0.167 0.333 0.491
Cu1 Cu 0.000 0.000 0.000
Si1 Si 0.134 0.634 0.976
O1 O 0.000 0.500 0.870
O2 O 0.079 0.802 0.844
O3 O 0.134 0.634 0.277
```

Main lines, low angle first (2θ from 10° to 90°):
hkl 1 1 1, 2θ 22.32, rel. 202; hkl 2 1 0, 2θ 23.64, rel. 160; hkl 2 0 1, 2θ 26.94, rel. 418; hkl 2 1 1, 2θ 28.99, rel. 1000; hkl 0 0 2, 2θ 33.45, rel. 152; hkl 3 1 0, 2θ 33.67, rel. 245; hkl 2 1 2, 2θ 41.37, rel. 215; hkl 4 1 1, 2θ 47.67, rel. 148; hkl 3 1 2, 2θ 48.19, rel. 201; hkl 3 3 1, 2θ 48.96, rel. 158

(5)
Structure and simulated powder diffraction line list of Mg5Ti (a DFT-relaxed cell (GGA-PBE, the Materials Project); a wavelength of 1.5418 Å).
Intensities are scaled so that the largest is 1000.

Structure:
```
data_Mg5Ti
_cell_length_a 11.613
_cell_length_b 3.103
_cell_length_c 7.463
_cell_angle_alpha 90.00
_cell_angle_beta 104.68
_cell_angle_gamma 90.00
_symmetry_space_group_name_H-M 'C 1 m 1'
_symmetry_Int_Tables_number 8
_symmetry_space_group_name_Hall 'C -2y'
loop_
_atom_site_label
_atom_site_type_symbol
_atom_site_fract_x
_atom_site_fract_y
_atom_site_fract_z
Mg1 Mg 0.000 0.000 0.000
Mg2 Mg 0.055 0.000 0.599
Mg3 Mg 0.169 0.500 0.323
Mg4 Mg 0.227 0.500 0.943
Mg5 Mg 0.336 0.000 0.652
Ti1 Ti 0.391 0.000 0.271
```

Main lines, low angle first (2θ from 10° to 90°):
hkl 0 0 1, 2θ 12.26, rel. 121; hkl 2 0 2, 2θ 32.72, rel. 124; hkl 1 1 1, 2θ 33.18, rel. 253; hkl 4 0 -2, 2θ 35.17, rel. 402; hkl 4 0 1, 2θ 37.18, rel. 262; hkl 0 0 3, 2θ 37.37, rel. 257; hkl 3 1 0, 2θ 37.69, rel. 1000; hkl 3 1 3, 2θ 58.69, rel. 167; hkl 4 0 -5, 2θ 64.67, rel. 138; hkl 7 1 1, 2θ 70.11, rel. 94

(6)
Structure and simulated powder diffraction line list of TmMgS3 (a DFT-relaxed cell (GGA-PBE, the Materials Project); a wavelength of 1.5418 Å).
Intensities are scaled so that the largest is 1000.

Structure:
```
data_TmMgS3
_cell_length_a 6.6241
_cell_length_b 6.6241
_cell_length_c 17.8824
_cell_angle_alpha 90.00
_cell_angle_beta 90.00
_cell_angle_gamma 120.00
_symmetry_space_group_name_H-M 'R -3'
_symmetry_Int_Tables_number 148
_symmetry_space_group_name_Hall '-R 3'
loop_
_atom_site_label
_atom_site_type_symbol
_atom_site_fract_x
_atom_site_fract_y
_atom_site_fract_z
Tm1 Tm 0.0000 0.0000 0.1520
Mg1 Mg 0.0000 0.0000 0.3459
S1 S 0.0128 0.6974 0.2509
```

Main lines, low angle first (2θ from 10° to 90°):
hkl 0 0 3, 2θ 14.86, rel. 644; hkl 1 0 1, 2θ 16.23, rel. 540; hkl 0 1 2, 2θ 18.38, rel. 389; hkl 1 0 4, 2θ 25.26, rel. 633; hkl 1 1 0, 2θ 26.92, rel. 561; hkl 1 1 3, 2θ 30.89, rel. 1000; hkl 0 2 4, 2θ 37.25, rel. 319; hkl 2 -1 6, 2θ 40.73, rel. 819; hkl 3 -1 4, 2θ 46.55, rel. 302; hkl 3 0 0, 2θ 47.55, rel. 454